Entry 1:
# LiNdDyBe
Theoretical powder diffractogram, Cu Kα X-rays. Input: a DFT-relaxed cell (PBE, Alexandria).
Kinematic intensities with the Lorentz-polarization factor, no thermal factor.

Crystal structure
```
LiNdDyBe
1.0
0.000 3.584 3.584
3.584 0.000 3.584
3.584 3.584 0.000
Li Nd Dy Be
1 1 1 1
Direct
0.000 0.000 0.000
0.750 0.750 0.750
0.250 0.250 0.250
0.500 0.500 0.500
```

Largest 7 diffraction maxima, sorted by position, 5° ≤ 2θ ≤ 70°:
d/Å	2θ/deg	I_rel
4.139	21.47	1
3.584	24.84	100
2.535	35.42	93
2.069	43.74	30
1.792	50.96	17
1.603	57.49	40
1.463	63.58	34

=====

Entry 2:
# MnZnNiAs
Theoretical powder diffractogram, Cu Kα X-rays. Input: a DFT-relaxed cell (PBE, Alexandria).
Kinematic intensities with the Lorentz-polarization factor, no thermal factor.

Crystal structure
```
MnZnNiAs
1.0
3.116 0.000 0.000
0.000 3.716 0.000
0.000 0.000 4.833
Mn Zn Ni As
1 1 1 1
Direct
0.000 0.000 0.000
0.000 0.500 0.619
0.500 0.000 0.477
0.500 0.500 0.144
```

Largest 12 diffraction maxima, sorted by position, 5° ≤ 2θ ≤ 70°:
d/Å	2θ/deg	I_rel
4.833	18.36	2
3.716	23.95	1
2.619	34.24	22
2.416	37.21	17
2.140	42.22	100
2.026	44.74	32
1.858	49.03	20
1.698	53.99	1
1.558	59.32	11
1.515	61.16	8
1.473	63.12	7
1.431	65.20	14

=====

Entry 3:
# La2CeGe
Theoretical powder diffractogram, Cu Kα X-rays. Input: a DFT-relaxed cell (PBE, Alexandria).
Kinematic intensities with the Lorentz-polarization factor, no thermal factor.

Crystal structure
```
La2CeGe
1.0
7.293 0.000 0.000
0.000 4.377 0.000
-2.942 0.000 7.297
La Ce Ge
4 2 2
Direct
0.130 0.250 0.386
0.256 0.250 0.948
0.744 0.750 0.052
0.870 0.750 0.614
0.370 0.750 0.316
0.630 0.250 0.684
0.344 0.750 0.702
0.656 0.250 0.298
```

Largest 12 diffraction maxima, sorted by position, 5° ≤ 2θ ≤ 70°:
d/Å	2θ/deg	I_rel
3.382	26.35	17
3.043	29.35	39
2.900	30.83	100
2.803	31.93	50
2.794	32.04	27
2.676	33.49	63
2.547	35.24	28
2.432	36.96	25
2.188	41.25	37
1.725	53.10	19
1.626	56.59	19
1.582	58.33	16

=====

Entry 4:
# Er11Zn9Au4
Theoretical powder diffractogram, Cu Kα X-rays. Input: a DFT-relaxed cell (PBE, Alexandria).
Kinematic intensities with the Lorentz-polarization factor, no thermal factor.

Crystal structure
```
Er11Zn9Au4
1.0
7.036 -10.501 0.000
7.036 10.501 0.000
0.000 0.000 3.610
Er Zn Au
11 9 4
Direct
0.000 0.000 0.000
0.071 0.413 0.000
0.170 0.830 0.000
0.260 0.260 0.000
0.351 0.649 0.000
0.413 0.071 0.000
0.587 0.929 0.000
0.649 0.351 0.000
0.740 0.740 0.000
0.830 0.170 0.000
0.929 0.587 0.000
0.043 0.205 0.500
0.144 0.630 0.500
0.205 0.043 0.500
0.370 0.856 0.500
0.500 0.500 0.500
0.630 0.144 0.500
0.795 0.957 0.500
0.856 0.370 0.500
0.957 0.795 0.500
0.263 0.448 0.500
0.448 0.263 0.500
0.552 0.737 0.500
0.737 0.552 0.500
```

Largest 12 diffraction maxima, sorted by position, 5° ≤ 2θ ≤ 70°:
d/Å	2θ/deg	I_rel
11.690	7.56	6
4.578	19.39	7
4.025	22.09	6
2.516	35.68	100
2.481	36.20	49
2.365	38.05	10
1.805	50.58	12
1.759	51.99	8
1.750	52.27	9
1.460	63.77	19
1.441	64.69	12
1.437	64.89	14

=====

Entry 5:
# ThSnTe4
Theoretical powder diffractogram, Cu Kα X-rays. Input: a DFT-relaxed cell (PBE, Alexandria).
Kinematic intensities with the Lorentz-polarization factor, no thermal factor.

Crystal structure
```
ThSnTe4
1.0
5.069 -5.183 0.000
5.069 5.183 0.000
0.000 0.000 4.532
Th Sn Te
1 1 4
Direct
0.000 0.000 0.000
0.500 0.500 0.500
0.203 0.797 0.500
0.308 0.308 0.000
0.692 0.692 0.000
0.797 0.203 0.500
```

Largest 12 diffraction maxima, sorted by position, 5° ≤ 2θ ≤ 70°:
d/Å	2θ/deg	I_rel
5.183	17.11	63
5.069	17.50	67
3.842	23.15	28
3.412	26.12	98
3.378	26.38	34
3.213	27.77	42
2.652	33.80	65
2.621	34.21	77
2.592	34.61	36
2.266	39.78	37
2.132	42.40	100
1.689	54.30	28

=====

Entry 6:
# NaHo4ThSe8
Theoretical powder diffractogram, Cu Kα X-rays. Input: a DFT-relaxed cell (PBE, Alexandria).
Kinematic intensities with the Lorentz-polarization factor, no thermal factor.

Crystal structure
```
NaHo4ThSe8
1.0
4.205 2.428 6.994
-4.205 2.428 6.994
0.000 -4.855 6.994
Na Ho Th Se
1 4 1 8
Direct
0.000 0.000 0.000
0.116 0.633 0.633
0.257 0.257 0.257
0.633 0.116 0.633
0.633 0.633 0.116
0.632 0.632 0.632
0.382 0.382 0.858
0.382 0.858 0.382
0.388 0.388 0.388
0.406 0.872 0.872
0.858 0.382 0.382
0.868 0.868 0.868
0.872 0.406 0.872
0.872 0.872 0.406
```

Largest 12 diffraction maxima, sorted by position, 5° ≤ 2θ ≤ 70°:
d/Å	2θ/deg	I_rel
6.880	12.87	51
3.636	24.48	31
3.604	24.71	64
3.588	24.82	18
2.991	29.87	100
2.302	39.14	29
2.293	39.29	21
2.128	42.47	65
2.102	43.02	64
1.720	53.26	19
1.496	62.05	20
1.344	69.98	15

=====

Entry 7:
# LiTiVTc2
Theoretical powder diffractogram, Cu Kα X-rays. Input: a DFT-relaxed cell (PBE, Alexandria).
Kinematic intensities with the Lorentz-polarization factor, no thermal factor.

Crystal structure
```
LiTiVTc2
1.0
4.454 0.000 0.000
0.000 4.454 0.000
0.000 0.000 4.625
Li Ti V Tc
1 1 1 2
Direct
0.000 0.000 0.000
0.500 0.500 0.000
0.500 0.500 0.500
0.000 0.500 0.500
0.500 0.000 0.500
```

Largest 12 diffraction maxima, sorted by position, 5° ≤ 2θ ≤ 70°:
d/Å	2θ/deg	I_rel
4.625	19.19	100
4.454	19.93	42
3.150	28.34	18
2.603	34.45	94
2.313	38.95	37
2.227	40.50	66
2.007	45.19	41
1.604	57.45	45
1.575	58.62	21
1.491	62.28	15
1.385	67.66	13
1.347	69.80	23

=====

Entry 8:
# CsK12Cd6
Theoretical powder diffractogram, Cu Kα X-rays. Input: a DFT-relaxed cell (PBE, Alexandria).
Kinematic intensities with the Lorentz-polarization factor, no thermal factor.

Crystal structure
```
CsK12Cd6
1.0
-6.412 6.412 6.412
6.412 -6.412 6.412
6.412 6.412 -6.412
Cs K Cd
1 12 6
Direct
0.000 0.000 0.000
0.114 0.306 0.808
0.192 0.499 0.306
0.192 0.886 0.694
0.306 0.192 0.499
0.306 0.808 0.114
0.499 0.306 0.192
0.501 0.694 0.808
0.694 0.192 0.886
0.694 0.808 0.501
0.808 0.114 0.306
0.808 0.501 0.694
0.886 0.694 0.192
0.113 0.500 0.613
0.387 0.887 0.500
0.500 0.387 0.887
0.500 0.613 0.113
0.613 0.113 0.500
0.887 0.500 0.387
```

Largest 12 diffraction maxima, sorted by position, 5° ≤ 2θ ≤ 70°:
d/Å	2θ/deg	I_rel
6.412	13.81	70
4.534	19.58	16
3.702	24.04	25
3.427	26.00	100
3.206	27.83	16
3.023	29.55	22
2.515	35.70	69
2.341	38.45	15
2.137	42.29	15
1.979	45.86	23
1.814	50.31	19
1.491	62.28	16

=====

Entry 9:
# NdGe6Pt12
Theoretical powder diffractogram, Cu Kα X-rays. Input: a DFT-relaxed cell (PBE, Alexandria).
Kinematic intensities with the Lorentz-polarization factor, no thermal factor.

Crystal structure
```
NdGe6Pt12
1.0
5.835 3.369 2.831
-5.835 3.369 2.831
0.000 -6.738 2.831
Nd Ge Pt
1 6 12
Direct
0.000 0.000 0.000
0.263 0.263 0.687
0.263 0.687 0.263
0.313 0.737 0.737
0.687 0.263 0.263
0.737 0.313 0.737
0.737 0.737 0.313
0.125 0.500 0.875
0.125 0.875 0.500
0.150 0.389 0.389
0.389 0.150 0.389
0.389 0.389 0.150
0.500 0.125 0.875
0.500 0.875 0.125
0.611 0.611 0.850
0.611 0.850 0.611
0.850 0.611 0.611
0.875 0.125 0.500
0.875 0.500 0.125
```

Largest 12 diffraction maxima, sorted by position, 5° ≤ 2θ ≤ 70°:
d/Å	2θ/deg	I_rel
3.915	22.71	25
3.369	26.46	19
2.662	33.67	100
2.547	35.24	62
2.237	40.32	31
2.206	40.92	20
2.168	41.66	66
2.035	44.53	20
1.957	46.39	19
1.825	49.97	54
1.464	63.55	16
1.453	64.10	16

=====

Entry 10:
# Rb4Ac3MnSe8
Theoretical powder diffractogram, Cu Kα X-rays. Input: a DFT-relaxed cell (PBE, Alexandria).
Kinematic intensities with the Lorentz-polarization factor, no thermal factor.

Crystal structure
```
Rb4Ac3MnSe8
1.0
7.873 -4.415 0.000
7.873 4.415 0.000
-5.100 0.000 8.099
Rb Ac Mn Se
4 3 1 8
Direct
0.000 0.000 0.000
0.000 0.500 0.000
0.500 0.000 0.000
0.500 0.500 0.000
0.000 0.000 0.500
0.000 0.500 0.500
0.500 0.000 0.500
0.500 0.500 0.500
0.233 0.233 0.712
0.245 0.245 0.273
0.278 0.697 0.680
0.303 0.722 0.320
0.697 0.278 0.680
0.722 0.303 0.320
0.755 0.755 0.727
0.767 0.767 0.288
```

Largest 12 diffraction maxima, sorted by position, 5° ≤ 2θ ≤ 70°:
d/Å	2θ/deg	I_rel
8.099	10.92	52
3.680	24.18	12
3.331	26.76	61
3.239	27.54	100
2.567	34.96	14
2.395	37.55	39
2.383	37.74	16
2.256	39.97	40
2.207	40.88	17
1.840	49.54	19
1.620	56.85	12
1.446	64.43	12

=====

Entry 11:
# K2Bi2Pd
Theoretical powder diffractogram, Cu Kα X-rays. Input: a DFT-relaxed cell (PBE, Alexandria).
Kinematic intensities with the Lorentz-polarization factor, no thermal factor.

Crystal structure
```
K2Bi2Pd
1.0
-2.323 3.302 5.697
2.323 -3.302 5.697
2.323 3.302 -5.697
K Bi Pd
2 2 1
Direct
0.204 0.204 0.000
0.796 0.796 0.000
0.261 0.500 0.761
0.739 0.500 0.239
0.500 0.000 0.500
```

Largest 12 diffraction maxima, sorted by position, 5° ≤ 2θ ≤ 70°:
d/Å	2θ/deg	I_rel
5.699	15.55	100
4.303	20.64	35
3.296	27.06	16
2.941	30.40	24
2.852	31.36	48
2.619	34.23	77
2.323	38.76	17
2.196	41.11	34
2.151	42.00	16
1.801	50.68	26
1.739	52.63	28
1.392	67.25	19

=====

Entry 12:
# LiY3
Theoretical powder diffractogram, Cu Kα X-rays. Input: a DFT-relaxed cell (PBE, Alexandria).
Kinematic intensities with the Lorentz-polarization factor, no thermal factor.

Crystal structure
```
LiY3
1.0
3.575 0.000 0.000
-1.788 3.096 0.000
0.000 0.000 11.054
Li Y
1 3
Direct
0.000 0.000 0.000
0.000 0.000 0.500
0.667 0.333 0.243
0.667 0.333 0.757
```

Largest 12 diffraction maxima, sorted by position, 5° ≤ 2θ ≤ 70°:
d/Å	2θ/deg	I_rel
11.054	8.00	45
5.527	16.04	12
3.685	24.15	8
3.096	28.84	31
2.981	29.97	18
2.763	32.40	23
2.701	33.17	100
2.062	43.92	18
1.788	51.10	19
1.583	58.28	18
1.501	61.81	20
1.491	62.28	15

=====

Entry 13:
# Pr2Np3N8
Theoretical powder diffractogram, Cu Kα X-rays. Input: a DFT-relaxed cell (PBE, Alexandria).
Kinematic intensities with the Lorentz-polarization factor, no thermal factor.

Crystal structure
```
Pr2Np3N8
1.0
6.934 0.000 0.000
-3.467 6.005 0.000
0.000 0.000 10.460
Pr Np N
4 6 16
Direct
0.333 0.667 0.000
0.333 0.667 0.353
0.667 0.333 0.500
0.667 0.333 0.853
0.166 0.332 0.710
0.166 0.834 0.710
0.332 0.166 0.210
0.668 0.834 0.710
0.834 0.166 0.210
0.834 0.668 0.210
0.000 0.000 0.299
0.000 0.000 0.799
0.059 0.530 0.819
0.160 0.321 0.131
0.160 0.840 0.131
0.321 0.160 0.631
0.333 0.667 0.604
0.470 0.530 0.819
0.470 0.941 0.819
0.530 0.059 0.319
0.530 0.470 0.319
0.667 0.333 0.104
0.679 0.840 0.131
0.840 0.160 0.631
0.840 0.679 0.631
0.941 0.470 0.319
```

Largest 12 diffraction maxima, sorted by position, 5° ≤ 2θ ≤ 70°:
d/Å	2θ/deg	I_rel
5.227	16.96	47
3.944	22.54	16
3.015	29.63	31
3.003	29.75	20
2.887	30.97	100
2.275	39.61	18
1.902	47.82	19
1.734	52.81	21
1.716	53.38	22
1.645	55.87	11
1.502	61.74	11
1.486	62.50	11